[1]
For MgV6H6O18, DFT lattice parameters and positions (GGA+U) gives the theoretical X-ray diffraction stick pattern in this record (copper Kα).
Neutral-atom scattering factors, no anomalous dispersion.

Structural model:
```
31
Lattice="5.150 0.000 0.000 1.704 7.524 0.000 0.001 0.001 8.656" Properties=species:S:1:pos:R:3 pbc="T T T"
Mg 0.000 0.000 0.000
V 1.588 2.360 6.840
V 1.588 2.359 1.815
V 2.594 5.099 2.625
V 2.593 5.099 6.030
V 4.264 3.006 8.655
V 5.015 4.412 4.327
H 2.577 0.745 8.655
H 4.787 6.193 0.796
H 4.790 6.187 7.870
H 3.561 0.650 3.537
H 3.562 0.650 5.117
H 6.330 7.052 4.327
O 1.100 3.709 5.725
O 1.101 3.709 2.930
O 1.805 5.712 4.328
O 2.040 6.270 1.561
O 2.040 6.270 7.095
O 2.386 1.723 8.655
O 2.271 1.137 2.670
O 2.271 1.138 5.985
O 2.994 3.654 1.439
O 2.995 3.655 7.215
O 3.667 3.437 4.326
O 4.236 5.598 2.913
O 4.236 5.597 5.741
O 4.865 6.775 0.003
O 4.177 0.489 4.327
O 5.473 4.133 8.654
O 5.137 1.697 1.270
O 5.138 1.696 7.384
```

Main lines, low angle first (5 to 70 degrees two-theta):
- d = 7.524 Å, 2θ = 11.76°, intensity 95
- d = 5.679 Å, 2θ = 15.60°, intensity 71
- d = 5.023 Å, 2θ = 17.66°, intensity 16
- d = 3.450 Å, 2θ = 25.82°, intensity 30
- d = 3.392 Å, 2θ = 26.27°, intensity 22
- d = 3.279 Å, 2θ = 27.20°, intensity 100
- d = 2.859 Å, 2θ = 31.29°, intensity 28
- d = 2.839 Å, 2θ = 31.51°, intensity 26
- d = 2.341 Å, 2θ = 38.45°, intensity 20
- d = 2.011 Å, 2θ = 45.09°, intensity 12
- d = 1.985 Å, 2θ = 45.71°, intensity 46
- d = 1.561 Å, 2θ = 59.20°, intensity 13

=====

[2]
For YWF5, DFT lattice parameters and positions (GGA+U) gives the theoretical X-ray diffraction stick pattern in this record (copper Kα).
Neutral-atom scattering factors, no anomalous dispersion.

Structural model:
```
7
Lattice="-2.162 3.490 4.331 2.162 -3.490 4.331 2.162 3.490 -4.331" Properties=species:S:1:pos:R:3 pbc="T T T"
Y 0.000 0.000 0.000
W 0.000 0.000 4.331
F 2.162 0.000 0.000
F 0.000 0.000 2.190
F 0.000 2.216 0.000
F 0.000 4.763 0.000
F 0.000 0.000 6.473
```

Main lines, low angle first (5 to 70 degrees two-theta):
- d = 5.435 Å, 2θ = 16.31°, intensity 23
- d = 4.331 Å, 2θ = 20.51°, intensity 85
- d = 3.675 Å, 2θ = 24.22°, intensity 100
- d = 3.490 Å, 2θ = 25.53°, intensity 54
- d = 2.802 Å, 2θ = 31.94°, intensity 49
- d = 2.717 Å, 2θ = 32.96°, intensity 30
- d = 2.591 Å, 2θ = 34.62°, intensity 20
- d = 2.164 Å, 2θ = 41.75°, intensity 42
- d = 2.049 Å, 2θ = 44.21°, intensity 28
- d = 1.866 Å, 2θ = 48.81°, intensity 30
- d = 1.852 Å, 2θ = 49.20°, intensity 25
- d = 1.839 Å, 2θ = 49.57°, intensity 35

=====

[3]
For MgTl4Mo2O8, DFT lattice parameters and positions (GGA+U) gives the theoretical X-ray diffraction stick pattern in this record (copper Kα).
Neutral-atom scattering factors, no anomalous dispersion.

Structural model:
```
15
Lattice="6.351 0.000 0.000 -3.176 5.500 0.000 0.000 0.000 9.839" Properties=species:S:1:pos:R:3 pbc="T T T"
Mg 0.000 0.000 0.000
Tl 0.000 0.000 2.991
Tl 0.000 0.000 6.673
Tl 0.000 3.667 4.970
Tl 3.176 1.833 9.620
Mo 0.000 3.667 0.770
Mo 3.176 1.833 4.248
O 0.000 1.878 9.833
O -1.549 4.561 9.833
O 0.000 3.667 2.693
O 1.690 0.976 4.857
O 1.549 4.561 9.833
O 3.176 1.833 2.486
O 4.661 0.976 4.857
O 3.176 3.548 4.857
```

Main lines, low angle first (5 to 70 degrees two-theta):
- d = 4.801 Å, 2θ = 18.48°, intensity 21
- d = 3.667 Å, 2θ = 24.27°, intensity 74
- d = 3.176 Å, 2θ = 28.10°, intensity 100
- d = 2.817 Å, 2θ = 31.77°, intensity 34
- d = 2.400 Å, 2θ = 37.47°, intensity 30
- d = 2.107 Å, 2θ = 42.92°, intensity 19
- d = 1.915 Å, 2θ = 47.48°, intensity 24
- d = 1.833 Å, 2θ = 49.73°, intensity 26
- d = 1.756 Å, 2θ = 52.09°, intensity 18
- d = 1.600 Å, 2θ = 57.60°, intensity 12
- d = 1.588 Å, 2θ = 58.10°, intensity 21
- d = 1.457 Å, 2θ = 63.89°, intensity 15

=====

[4]
For Na8MgNi2O8, DFT lattice parameters and positions (GGA+U) gives the theoretical X-ray diffraction stick pattern in this record (copper Kα).
Neutral-atom scattering factors, no anomalous dispersion.

Structural model:
```
19
Lattice="5.593 0.000 0.000 1.978 5.564 0.000 0.439 2.705 8.477" Properties=species:S:1:pos:R:3 pbc="T T T"
Na 0.000 0.000 0.000
Na 1.847 5.625 3.016
Na 1.008 2.869 1.492
Na 3.434 3.143 6.706
Na 4.229 5.556 8.443
Na 4.503 5.493 4.849
Na 4.811 5.572 1.390
Na 4.965 1.766 5.405
Mg 1.356 3.615 4.702
Ni 3.934 2.976 2.850
Ni 6.900 5.087 7.042
O 2.250 5.287 5.338
O 2.315 4.217 8.299
O 2.988 4.174 1.760
O 2.887 2.350 4.364
O 4.544 1.591 1.768
O 6.188 6.677 7.653
O 5.545 3.933 3.332
O 5.721 3.740 6.341
```

Main lines, low angle first (5 to 70 degrees two-theta):
- d = 5.301 Å, 2θ = 16.72°, intensity 100
- d = 4.589 Å, 2θ = 19.34°, intensity 69
- d = 4.446 Å, 2θ = 19.97°, intensity 66
- d = 4.358 Å, 2θ = 20.38°, intensity 31
- d = 2.782 Å, 2θ = 32.17°, intensity 31
- d = 2.672 Å, 2θ = 33.54°, intensity 55
- d = 2.631 Å, 2θ = 34.08°, intensity 48
- d = 2.407 Å, 2θ = 37.37°, intensity 86
- d = 2.341 Å, 2θ = 38.45°, intensity 65
- d = 2.333 Å, 2θ = 38.59°, intensity 83
- d = 2.205 Å, 2θ = 40.92°, intensity 38
- d = 1.678 Å, 2θ = 54.69°, intensity 31

=====

[5]
For NaV5MoO15, DFT lattice parameters and positions (GGA+U) gives the theoretical X-ray diffraction stick pattern in this record (copper Kα).
Neutral-atom scattering factors, no anomalous dispersion.

Structural model:
```
22
Lattice="7.971 -1.872 0.000 7.971 1.872 0.000 -3.374 0.000 9.723" Properties=species:S:1:pos:R:3 pbc="T T T"
Na 0.000 0.000 0.000
V 1.926 0.000 7.845
V 3.753 0.000 4.773
V 9.715 0.000 2.864
V 8.134 0.000 9.569
V 13.111 0.000 2.627
Mo 0.171 0.000 4.939
O -1.283 0.000 3.904
O -0.443 0.000 6.551
O 1.829 0.000 3.473
O 0.654 0.000 9.360
O 2.152 0.000 6.045
O 4.810 0.000 3.197
O 3.439 0.000 8.452
O 4.834 0.000 5.968
O 8.549 0.000 1.692
O 6.595 0.000 9.058
O 8.589 0.000 4.629
O 11.296 0.000 1.645
O 9.411 0.000 8.012
O 11.498 0.000 4.357
O 13.898 0.000 1.175
```

Main lines, low angle first (5 to 70 degrees two-theta):
- d = 9.723 Å, 2θ = 9.10°, intensity 87
- d = 7.531 Å, 2θ = 11.75°, intensity 100
- d = 7.206 Å, 2θ = 12.28°, intensity 23
- d = 4.863 Å, 2θ = 18.24°, intensity 36
- d = 3.584 Å, 2θ = 24.84°, intensity 23
- d = 3.496 Å, 2θ = 25.48°, intensity 100
- d = 3.319 Å, 2θ = 26.86°, intensity 26
- d = 3.178 Å, 2θ = 28.08°, intensity 58
- d = 2.988 Å, 2θ = 29.90°, intensity 49
- d = 2.811 Å, 2θ = 31.84°, intensity 47
- d = 2.258 Å, 2θ = 39.93°, intensity 25
- d = 1.872 Å, 2θ = 48.63°, intensity 38

=====

[6]
For SrLaTiFeO6, DFT lattice parameters and positions (GGA+U) gives the theoretical X-ray diffraction stick pattern in this record (copper Kα).
Neutral-atom scattering factors, no anomalous dispersion.

Structural model:
```
10
Lattice="0.000 3.949 3.949 3.949 0.000 3.949 3.949 3.949 0.000" Properties=species:S:1:pos:R:3 pbc="T T T"
Sr 0.000 0.000 0.000
La 3.949 3.949 3.949
Ti 1.975 1.975 1.975
Fe 5.924 5.924 5.924
O 1.975 1.975 0.022
O 1.975 0.022 1.975
O 3.927 1.975 1.975
O 0.022 1.975 1.975
O 1.975 3.927 1.975
O 1.975 1.975 3.927
```

Main lines, low angle first (5 to 70 degrees two-theta):
- d = 4.560 Å, 2θ = 19.47°, intensity 6
- d = 3.949 Å, 2θ = 22.51°, intensity 9
- d = 2.792 Å, 2θ = 32.05°, intensity 100
- d = 2.381 Å, 2θ = 37.78°, intensity 4
- d = 2.280 Å, 2θ = 39.53°, intensity 20
- d = 1.975 Å, 2θ = 45.96°, intensity 36
- d = 1.812 Å, 2θ = 50.36°, intensity 2
- d = 1.766 Å, 2θ = 51.76°, intensity 5
- d = 1.612 Å, 2θ = 57.13°, intensity 38
- d = 1.520 Å, 2θ = 60.95°, intensity 1
- d = 1.396 Å, 2θ = 67.03°, intensity 21

=====

[7]
For Zn4Ni5Te3O18, DFT lattice parameters and positions (GGA+U) gives the theoretical X-ray diffraction stick pattern in this record (copper Kα).
Neutral-atom scattering factors, no anomalous dispersion.

Structural model:
```
60
Lattice="7.418 -4.446 0.000 7.418 4.446 0.000 -0.869 0.000 10.365" Properties=species:S:1:pos:R:3 pbc="T T T"
Zn 6.290 3.057 9.913
Zn 4.368 1.273 0.789
Zn 7.242 3.057 5.634
Zn 3.933 -1.273 5.972
Zn 10.033 1.273 4.393
Zn 6.725 -3.057 4.731
Zn 9.599 -1.273 9.575
Zn 7.677 -3.057 0.451
Ni 4.566 2.748 4.664
Ni 4.575 1.395 7.587
Ni 7.201 1.576 2.591
Ni 9.835 2.748 0.518
Ni 8.957 1.395 7.960
Ni 5.009 -1.395 2.404
Ni 4.132 -2.748 9.846
Ni 6.766 -1.576 7.773
Ni 9.392 -1.395 2.778
Ni 9.401 -2.748 5.701
Te 1.708 0.030 8.275
Te 2.143 -0.030 3.092
Te 7.418 0.000 0.000
Te 6.983 0.000 5.182
Te 11.824 0.030 7.272
Te 12.259 -0.030 2.090
O 3.037 1.508 3.946
O 5.311 3.095 8.261
O 5.742 3.000 3.044
O 0.904 0.077 4.625
O 0.469 -0.077 9.808
O 2.895 1.335 9.203
O 3.091 0.210 6.840
O 8.221 3.095 7.286
O 8.660 3.000 2.138
O 5.791 1.457 5.822
O 6.310 1.481 0.704
O 3.526 -0.210 1.658
O 2.603 -1.508 9.129
O 3.330 -1.335 4.021
O 8.091 1.481 4.479
O 7.742 1.457 9.725
O 6.066 0.032 3.481
O 5.631 -0.032 8.664
O 8.336 0.032 1.701
O 7.901 -0.032 6.883
O 6.225 -1.457 0.640
O 5.876 -1.481 5.886
O 10.637 1.335 6.344
O 11.364 1.508 1.236
O 10.441 0.210 8.707
O 7.656 -1.481 9.661
O 8.176 -1.457 4.542
O 5.307 -3.000 8.227
O 5.746 -3.095 3.079
O 10.876 -0.210 3.524
O 11.071 -1.335 1.161
O 13.498 0.077 0.557
O 13.063 -0.077 5.739
O 8.225 -3.000 7.320
O 8.656 -3.095 2.104
O 10.930 -1.508 6.418
```

Main lines, low angle first (5 to 70 degrees two-theta):
- d = 4.310 Å, 2θ = 20.61°, intensity 62
- d = 4.086 Å, 2θ = 21.75°, intensity 46
- d = 3.135 Å, 2θ = 28.47°, intensity 73
- d = 3.009 Å, 2θ = 29.69°, intensity 55
- d = 2.797 Å, 2θ = 31.99°, intensity 42
- d = 2.697 Å, 2θ = 33.22°, intensity 54
- d = 2.605 Å, 2θ = 34.43°, intensity 42
- d = 2.553 Å, 2θ = 35.15°, intensity 100
- d = 2.540 Å, 2θ = 35.34°, intensity 56
- d = 2.464 Å, 2θ = 36.46°, intensity 28
- d = 1.902 Å, 2θ = 47.81°, intensity 35
- d = 1.667 Å, 2θ = 55.10°, intensity 61

=====

[8]
For Li9Mn2Co5O16, DFT lattice parameters and positions (GGA+U) gives the theoretical X-ray diffraction stick pattern in this record (copper Kα).
Neutral-atom scattering factors, no anomalous dispersion.

Structural model:
```
32
Lattice="6.438 0.000 0.000 2.042 6.150 0.000 3.208 0.745 7.131" Properties=species:S:1:pos:R:3 pbc="T T T"
Li 0.000 0.000 0.000
Li 3.917 3.264 5.830
Li 3.215 2.234 3.146
Li 2.537 1.145 0.430
Li 5.141 0.898 4.991
Li 6.547 5.996 2.140
Li 9.152 5.750 6.702
Li 8.473 4.660 3.985
Li 7.771 3.631 1.302
Mn 6.473 4.526 6.262
Mn 5.216 2.368 0.869
Co 4.601 5.845 4.507
Co 3.930 4.853 1.727
Co 5.844 3.447 3.566
Co 7.759 2.042 5.404
Co 7.087 1.050 2.624
O 4.688 5.058 6.444
O 3.085 1.441 5.033
O 4.081 4.098 3.802
O 2.454 0.390 2.451
O 3.355 3.122 0.998
O 7.145 6.180 6.864
O 5.950 2.739 5.567
O 6.456 5.157 4.403
O 5.232 1.738 2.728
O 5.738 4.156 1.564
O 4.543 0.715 0.267
O 8.333 3.772 6.133
O 9.235 6.505 4.680
O 7.607 2.796 3.329
O 8.603 5.453 2.098
O 7.000 1.837 0.687
```

Main lines, low angle first (5 to 70 degrees two-theta):
- d = 4.817 Å, 2θ = 18.42°, intensity 100
- d = 2.551 Å, 2θ = 35.18°, intensity 16
- d = 2.450 Å, 2θ = 36.67°, intensity 12
- d = 2.440 Å, 2θ = 36.83°, intensity 12
- d = 2.142 Å, 2θ = 42.19°, intensity 30
- d = 2.034 Å, 2θ = 44.54°, intensity 26
- d = 2.025 Å, 2θ = 44.76°, intensity 25
- d = 1.908 Å, 2θ = 47.66°, intensity 9
- d = 1.479 Å, 2θ = 62.83°, intensity 8
- d = 1.477 Å, 2θ = 62.91°, intensity 8
- d = 1.471 Å, 2θ = 63.22°, intensity 8
- d = 1.423 Å, 2θ = 65.59°, intensity 9